Starting from the GGA-PBE geometry in Alexandria, the powder XRD pattern of Ge2BiSe4 was computed for Cu Kα, 1.54184 Å.

The 12 most intense peaks (15° ≤ 2θ ≤ 90°), by angle:
2theta  d_spacing  I (rel.)
17.67  5.018  56
22.84  3.893  12
27.18  3.281  20
29.03  3.076  100
31.74  2.819  33
32.53  2.753  39
46.09  1.969  68
49.19  1.852  23
50.28  1.815  22
52.56  1.741  16
61.17  1.515  13
77.11  1.237  20

Crystal structure
```
Ge2BiSe4
1.0
7.786 0.000 0.000
0.000 7.786 0.000
0.000 0.000 6.563
Ge Bi Se
4 2 8
Cartesian
0.000 3.893 1.641
0.000 3.893 4.922
3.893 0.000 1.641
3.893 0.000 4.922
0.000 0.000 0.000
3.893 3.893 3.281
1.301 2.461 3.281
1.432 5.194 0.000
2.461 6.485 3.281
2.592 1.432 0.000
5.194 6.354 0.000
5.325 1.301 3.281
6.354 2.592 0.000
6.485 5.325 3.281
```

Starting from the GGA-PBE geometry in Alexandria, the powder XRD pattern of Ge2BiSe2 was computed for Cu Kα, 1.54184 Å.

The 12 most intense peaks (15° ≤ 2θ ≤ 90°), by angle:
2theta  d_spacing  I (rel.)
28.95  3.084  75
30.00  2.978  61
32.70  2.739  21
33.64  2.664  100
34.44  2.604  74
39.24  2.296  45
42.18  2.142  25
50.17  1.818  36
50.65  1.802  19
51.41  1.777  27
62.19  1.493  35
70.18  1.341  21

Crystal structure
```
Ge2BiSe2
1.0
8.424 0.000 0.000
0.000 8.424 0.000
0.000 0.000 3.604
Ge Bi Se
4 2 4
Cartesian
1.650 2.562 0.000
2.562 6.774 0.000
5.862 1.650 0.000
6.774 5.862 0.000
0.000 0.000 0.000
4.212 4.212 0.000
1.306 5.518 1.802
2.906 1.306 1.802
5.518 7.118 1.802
7.118 2.906 1.802
```

Starting from the GGA-PBE geometry in Alexandria, the powder XRD pattern of GeBiSe4 was computed for Cu Kα, 1.54184 Å.

The 12 most intense peaks (15° ≤ 2θ ≤ 90°), by angle:
2theta  d_spacing  I (rel.)
17.41  5.095  100
19.15  4.634  68
28.21  3.164  69
30.13  2.966  36
30.66  2.916  68
30.99  2.885  39
35.23  2.548  27
35.80  2.508  52
38.87  2.317  29
39.77  2.267  74
50.11  1.821  42
68.49  1.370  32

Crystal structure
```
GeBiSe4
1.0
4.634 -4.036 0.000
4.634 4.036 0.000
0.000 0.000 10.190
Ge Bi Se
2 2 8
Cartesian
4.634 3.175 7.643
4.634 -3.175 2.548
4.634 0.474 2.548
4.634 -0.474 7.643
1.859 0.587 7.643
1.859 -0.587 2.548
4.634 1.602 5.791
4.634 1.602 9.494
4.634 -1.602 0.696
4.634 -1.602 4.399
7.409 0.587 7.643
7.409 -0.587 2.548
```